# KMgTl2In
Theoretical PXRD pattern, a wavelength of 1.5418 Å. Input: a crystal structure in Alexandria, relaxed with PBE.
Peak positions follow from Bragg's law for the DFT cell and can differ from measured ones.

Largest 8 diffraction maxima, most intense first, 15° ≤ 2θ ≤ 90°:
- hkl 1 2 1, d = 2.845 Å, intensity 100
- hkl 1 0 1, d = 4.649 Å, intensity 40
- hkl 2 0 0, d = 3.007 Å, intensity 32
- hkl 1 2 2, d = 2.361 Å, intensity 24
- hkl 0 0 2, d = 3.665 Å, intensity 23
- hkl 3 2 1, d = 1.703 Å, intensity 22
- hkl 2 0 2, d = 2.325 Å, intensity 18
- hkl 0 2 2, d = 2.567 Å, intensity 13

Cell and atoms:
```
data_KMgTl2In
_chemical_formula_sum 'K2 Mg2 Tl4 In2'
_space_group_name_H-M_alt 'P m m a'
_space_group_IT_number 51
_cell_length_a 6.014
_cell_length_b 7.195
_cell_length_c 7.329
_cell_angle_alpha 90.00
_cell_angle_beta 90.00
_cell_angle_gamma 90.00
loop_
_space_group_symop_operation_xyz
'x,y,z'
'-x,-y,-z'
'-x+1/2,-y,z'
'x+1/2,y,-z'
'x+1/2,-y,-z'
'-x+1/2,y,z'
'-x,y,-z'
'x,-y,z'
loop_
_atom_site_label
_atom_site_type_symbol
_atom_site_fract_x
_atom_site_fract_y
_atom_site_fract_z
K1 K 0.250 0.000 0.198
Mg1 Mg 0.000 0.500 0.000
Tl1 Tl 0.250 0.248 0.701
In1 In 0.250 0.500 0.362
```